For La2SmNi3Pt6, a cell relaxed with PBE gives the theoretical powder XRD pattern in this record (Cu Ka).

Principal peaks in the range 10° ≤ 2θ ≤ 90°, in order of rising 2θ:
2θ/deg  d/Å  I/Imax
20.95  4.239  44
31.08  2.878  50
38.36  2.346  100
39.35  2.290  100
42.27  2.138  55
69.03  1.360  39

Crystal structure
```
La2SmNi3Pt6
1.0
2.721 1.571 8.479
-2.721 1.571 8.479
0.000 -3.142 8.479
La Sm Ni Pt
2 1 3 6
direct
0.140 0.140 0.140
0.860 0.860 0.860
0.000 0.000 0.000
0.333 0.333 0.333
0.500 0.500 0.500
0.667 0.667 0.667
0.081 0.581 0.581
0.419 0.419 0.919
0.419 0.919 0.419
0.581 0.081 0.581
0.581 0.581 0.081
0.919 0.419 0.419
```